Computed XRD peak list of Sc2CuRh for CuKα, from a structure optimized by DFT (GGA-PBE).

The 10 most intense peaks (5 to 70 degrees two-theta), in order of falling intensity:
(1 1 2), 2θ 39.26, rel. 100; (2 0 0), 2θ 39.15, rel. 25; (0 0 4), 2θ 39.02, rel. 25; (2 0 4), 2θ 56.47, rel. 16; (1 0 2), 2θ 27.36, rel. 14; (0 0 1), 2θ 9.58, rel. 9; (0 2 0), 2θ 57.00, rel. 8; (0 1 0), 2θ 27.61, rel. 7; (3 0 2), 2θ 63.97, rel. 4; (2 1 0), 2θ 48.57, rel. 3

```
data_Sc2CuRh
_chemical_formula_sum 'Sc4 Cu2 Rh2'
_space_group_name_H-M_alt 'P 1'
_space_group_IT_number 1
_space_group_name_Hall 'P 1'
_cell_length_a 4.6023
_cell_length_b 3.2311
_cell_length_c 9.2331
_cell_angle_alpha 90.00
_cell_angle_beta 90.00
_cell_angle_gamma 90.00
loop_
_atom_site_label
_atom_site_type_symbol
_atom_site_fract_x
_atom_site_fract_y
_atom_site_fract_z
_atom_site_occupancy
Sc1 Sc 0.2500 0.0000 0.1210 1
Sc2 Sc 0.2500 0.0000 0.6267 1
Sc3 Sc 0.7500 0.0000 0.3733 1
Sc4 Sc 0.7500 0.0000 0.8790 1
Cu1 Cu 0.2500 0.5000 0.3670 1
Cu2 Cu 0.7500 0.5000 0.6330 1
Rh1 Rh 0.2500 0.5000 0.8717 1
Rh2 Rh 0.7500 0.5000 0.1283 1
```


Computed XRD peak list of Ti3P3O13 for CuKα, from a structure optimized by DFT (GGA-PBE).

The 10 most intense peaks (5 to 70 degrees two-theta), in order of falling intensity:
(2 0 1), 2θ 25.55, rel. 100; (1 0 -2), 2θ 19.27, rel. 94; (0 1 1), 2θ 16.29, rel. 83; (2 0 0), 2θ 23.02, rel. 78; (1 0 3), 2θ 29.36, rel. 61; (1 2 1), 2θ 31.95, rel. 60; (0 2 0), 2θ 28.00, rel. 58; (0 1 3), 2θ 29.20, rel. 44; (1 0 -1), 2θ 13.37, rel. 42; (1 1 0), 2θ 18.04, rel. 41

```
data_Ti3P3O13
_chemical_formula_sum 'Ti6 P6 O26'
_space_group_name_H-M_alt 'P 1'
_space_group_IT_number 1
_space_group_name_Hall 'P 1'
_cell_length_a 7.7889
_cell_length_b 6.3729
_cell_length_c 10.5415
_cell_angle_alpha 90.00
_cell_angle_beta 97.18
_cell_angle_gamma 90.00
loop_
_atom_site_label
_atom_site_type_symbol
_atom_site_fract_x
_atom_site_fract_y
_atom_site_fract_z
_atom_site_occupancy
Ti1 Ti 0.0000 0.0000 0.0000 1
Ti2 Ti 0.0000 0.5000 0.0000 1
Ti3 Ti 0.2098 0.2500 0.5494 1
Ti4 Ti 0.3502 0.7500 0.1810 1
Ti5 Ti 0.6498 0.2500 0.8190 1
Ti6 Ti 0.7902 0.7500 0.4506 1
P1 P 0.2173 0.7500 0.4742 1
P2 P 0.2593 0.2500 0.2259 1
P3 P 0.2916 0.2500 0.8672 1
P4 P 0.7084 0.7500 0.1328 1
P5 P 0.7407 0.7500 0.7741 1
P6 P 0.7827 0.2500 0.5258 1
O1 O 0.0176 0.7500 0.4232 1
O2 O 0.0890 0.2500 0.1260 1
O3 O 0.1359 0.7500 0.0907 1
O4 O 0.1910 0.0535 0.9007 1
O5 O 0.1910 0.4465 0.9007 1
O6 O 0.2096 0.2500 0.3639 1
O7 O 0.2567 0.5512 0.5548 1
O8 O 0.2567 0.9488 0.5548 1
O9 O 0.3210 0.7500 0.3611 1
O10 O 0.3230 0.2500 0.7242 1
O11 O 0.3623 0.0537 0.1996 1
O12 O 0.3623 0.4463 0.1996 1
O13 O 0.4800 0.2500 0.9368 1
O14 O 0.5200 0.7500 0.0632 1
O15 O 0.6377 0.5537 0.8004 1
O16 O 0.6377 0.9463 0.8004 1
O17 O 0.6770 0.7500 0.2758 1
O18 O 0.6790 0.2500 0.6389 1
O19 O 0.7433 0.0512 0.4452 1
O20 O 0.7433 0.4488 0.4452 1
O21 O 0.7904 0.7500 0.6361 1
O22 O 0.8090 0.5535 0.0993 1
O23 O 0.8090 0.9465 0.0993 1
O24 O 0.8641 0.2500 0.9093 1
O25 O 0.9110 0.7500 0.8740 1
O26 O 0.9824 0.2500 0.5768 1
```


Computed XRD peak list of CeTi2O5 for CuKα, from a structure optimized by DFT (GGA-PBE).

The 10 most intense peaks (5 to 70 degrees two-theta), in order of falling intensity:
(0 2 1), 2θ 23.17, rel. 100; (1 3 0), 2θ 33.27, rel. 81; (1 1 1), 2θ 31.11, rel. 79; (0 2 0), 2θ 14.89, rel. 73; (1 0 1), 2θ 30.17, rel. 65; (1 2 2), 2θ 46.38, rel. 58; (0 3 1), 2θ 28.67, rel. 57; (0 1 1), 2θ 19.17, rel. 38; (1 4 2), 2θ 53.91, rel. 35; (0 4 1), 2θ 35.05, rel. 30

```
data_CeTi2O5
_chemical_formula_sum 'Ce2 Ti4 O10'
_space_group_name_H-M_alt 'P 1'
_space_group_IT_number 1
_space_group_name_Hall 'P 1'
_cell_length_a 3.6673
_cell_length_b 11.8978
_cell_length_c 5.0264
_cell_angle_alpha 90.00
_cell_angle_beta 90.00
_cell_angle_gamma 90.00
loop_
_atom_site_label
_atom_site_type_symbol
_atom_site_fract_x
_atom_site_fract_y
_atom_site_fract_z
_atom_site_occupancy
Ce1 Ce 0.2500 0.2500 0.1151 1
Ce2 Ce 0.7500 0.7500 0.8849 1
Ti1 Ti 0.2500 0.5941 0.4235 1
Ti2 Ti 0.2500 0.9059 0.4235 1
Ti3 Ti 0.7500 0.0941 0.5765 1
Ti4 Ti 0.7500 0.4059 0.5765 1
O1 O 0.2500 0.0796 0.4305 1
O2 O 0.2500 0.4204 0.4305 1
O3 O 0.2500 0.6321 0.0811 1
O4 O 0.2500 0.7500 0.5774 1
O5 O 0.2500 0.8679 0.0811 1
O6 O 0.7500 0.1321 0.9189 1
O7 O 0.7500 0.2500 0.4226 1
O8 O 0.7500 0.3679 0.9189 1
O9 O 0.7500 0.5796 0.5695 1
O10 O 0.7500 0.9204 0.5695 1
```